(1)
For TlCu4I7, a cell relaxed with PBE gives the theoretical XRD peak list in this record (Cu Kα (weighted mean of Kα1 and Kα2)).
Intensities are scaled so that the largest is 100.

Top 10 peaks for 10° ≤ 2θ ≤ 90°, in order of falling intensity:
| 2θ (°) | I/Imax | h k l |
| --- | --- | --- |
| 24.4 | 100 | 4 1 0 |
| 27.6 | 99 | 4 1 1 |
| 25.6 | 94 | 0 0 2 |
| 35.6 | 53 | 4 1 2 |
| 27.9 | 53 | 0 2 1 |
| 46.4 | 51 | 4 1 3 |
| 42.6 | 35 | 8 0 0 |
| 43.3 | 33 | 4 3 0 |
| 50.4 | 28 | 8 0 2 |
| 46.6 | 27 | 0 2 3 |

Structure:
a b c (Å): 16.968 7.198 6.954
angles (deg): 90.00 90.00 90.00
Space group Pmn2_1 (No. 31)
Asymmetric unit:
Tl: 0.000 0.026 0.000 (multiplicity 2)
Cu: 0.125 0.663 0.578 (multiplicity 4)
Cu: 0.245 0.174 0.573 (multiplicity 4)
I: 0.000 0.849 0.475 (multiplicity 2)
I: 0.119 0.329 0.452 (multiplicity 4)
I: 0.127 0.668 0.953 (multiplicity 4)
I: 0.250 0.168 0.948 (multiplicity 4)



(2)
For TlCuI3, a cell relaxed with PBE gives the theoretical XRD peak list in this record (Cu Kα (weighted mean of Kα1 and Kα2)).
Intensities are scaled so that the largest is 100.

Top 10 peaks for 10° ≤ 2θ ≤ 90°, in order of falling intensity:
| 2θ (°) | I/Imax | h k l |
| --- | --- | --- |
| 30.3 | 100 | 1 1 2 |
| 27.0 | 57 | 0 1 2 |
| 43.1 | 38 | 0 2 0 |
| 21.3 | 36 | 2 0 -1 |
| 24.4 | 33 | 2 0 1 |
| 16.6 | 33 | 0 0 2 |
| 27.9 | 30 | 1 1 -2 |
| 33.2 | 29 | 1 1 -3 |
| 42.6 | 24 | 4 0 -1 |
| 29.7 | 20 | 2 0 -3 |

Structure:
a b c (Å): 8.489 4.194 10.881
angles (deg): 90.00 101.04 90.00
Space group P2_1/m (No. 11)
Asymmetric unit:
Tl: 0.199 0.250 0.289 (multiplicity 2)
Cu: 0.301 0.250 0.707 (multiplicity 2)
I: 0.090 0.250 0.847 (multiplicity 2)
I: 0.262 0.750 0.557 (multiplicity 2)
I: 0.419 0.750 0.154 (multiplicity 2)